1.
For NbFeP2O8, a DFT-relaxed cell (GGA+U, Alexandria) gives the simulated X-ray powder pattern in this record (Cu Kα X-rays).
No peak broadening, texture or thermal motion is included.

Structure:
```
data_NbFeP2O8
_chemical_formula_sum 'Nb2 Fe2 P4 O16'
_space_group_name_H-M_alt 'P 1 21/m 1'
_space_group_IT_number 11
_cell_length_a 5.026
_cell_length_b 6.105
_cell_length_c 10.090
_cell_angle_alpha 90.00
_cell_angle_beta 92.69
_cell_angle_gamma 90.00
loop_
_space_group_symop_operation_xyz
'x,y,z'
'-x,-y,-z'
'-x,y+1/2,-z'
'x,-y+1/2,z'
loop_
_atom_site_label
_atom_site_type_symbol
_atom_site_fract_x
_atom_site_fract_y
_atom_site_fract_z
_atom_site_occupancy
Nb1 Nb 0.071 0.250 0.281 1
Fe1 Fe 0.431 0.250 0.779 1
P1 P 0.096 0.750 0.410 1
P2 P 0.373 0.750 0.904 1
O1 O 0.181 0.750 0.558 1
O2 O 0.205 0.250 0.611 1
O3 O 0.218 0.554 0.832 1
O4 O 0.228 0.547 0.339 1
O5 O 0.333 0.250 0.132 1
O6 O 0.347 0.750 0.053 1
```

Peak list (10 most intense, 10 to 90 degrees two-theta, low angle first)
Position (°2θ), I/Imax, hkl
17.61, 100, 0 0 2
19.38, 33, 1 0 -1
20.13, 48, 1 0 1
24.29, 74, 1 1 -1
24.43, 30, 1 0 -2
24.90, 50, 1 1 1
29.26, 90, 0 2 0
29.57, 31, 1 1 2
34.69, 60, 1 1 -3
36.00, 41, 1 1 3

2.
For Ti3NbFe2P6O24, a DFT-relaxed cell (GGA+U, Alexandria) gives the simulated X-ray powder pattern in this record (Cu Kα X-rays).
No peak broadening, texture or thermal motion is included.

Structure:
```
data_Ti3NbFe2P6O24
_chemical_formula_sum 'Ti9 Nb3 Fe6 P18 O72'
_space_group_name_H-M_alt 'R 3'
_space_group_IT_number 146
_space_group_name_Hall 'R 3'
_cell_length_a 8.7554
_cell_length_b 8.7554
_cell_length_c 20.9050
_cell_angle_alpha 90.00
_cell_angle_beta 90.00
_cell_angle_gamma 120.00
loop_
_atom_site_label
_atom_site_type_symbol
_atom_site_fract_x
_atom_site_fract_y
_atom_site_fract_z
_atom_site_occupancy
Ti1 Ti 0.0000 0.0000 0.0000 1
Ti2 Ti 0.0000 0.0000 0.2119 1
Ti3 Ti 0.0000 0.0000 0.7119 1
Nb1 Nb 0.0000 0.0000 0.4985 1
Fe1 Fe 0.0000 0.0000 0.3539 1
Fe2 Fe 0.0000 0.0000 0.8563 1
P1 P 0.9999 0.7028 0.6071 1
P2 P 0.0445 0.3726 0.7725 1
O1 O 0.0050 0.8097 0.6660 1
O2 O 0.0056 0.1962 0.1665 1
O3 O 0.0165 0.8331 0.2803 1
O4 O 0.0210 0.1852 0.7800 1
O5 O 0.1369 0.6728 0.2123 1
O6 O 0.1479 0.4691 0.7124 1
O7 O 0.1618 0.4769 0.0973 1
O8 O 0.1656 0.6822 0.5997 1
```

Peak list (10 most intense, 10 to 90 degrees two-theta, low angle first)
Position (°2θ), I/Imax, hkl
20.29, 86, 1 1 0
24.01, 100, 1 1 3
24.98, 17, 2 0 2
31.51, 16, 2 1 1
32.85, 71, 2 -1 6
35.52, 38, 3 0 0
47.06, 32, 3 -2 8
49.16, 27, 4 -2 6
55.54, 24, 4 1 0
62.10, 19, 5 -1 6

3.
For NbV2Fe3P6O24, a DFT-relaxed cell (GGA+U, Alexandria) gives the simulated X-ray powder pattern in this record (Cu Kα X-rays).
No peak broadening, texture or thermal motion is included.

Structure:
```
data_NbV2Fe3P6O24
_chemical_formula_sum 'Nb3 V6 Fe9 P18 O72'
_space_group_name_H-M_alt 'R 3'
_space_group_IT_number 146
_space_group_name_Hall 'R 3'
_cell_length_a 8.6830
_cell_length_b 8.6830
_cell_length_c 21.1620
_cell_angle_alpha 90.00
_cell_angle_beta 90.00
_cell_angle_gamma 120.00
loop_
_atom_site_label
_atom_site_type_symbol
_atom_site_fract_x
_atom_site_fract_y
_atom_site_fract_z
_atom_site_occupancy
Nb1 Nb 0.0000 0.0000 0.0000 1
V1 V 0.0000 0.0000 0.1455 1
V2 V 0.0000 0.0000 0.6446 1
Fe1 Fe 0.0000 0.0000 0.2899 1
Fe2 Fe 0.0000 0.0000 0.4996 1
Fe3 Fe 0.0000 0.0000 0.7883 1
P1 P 0.0002 0.2983 0.8912 1
P2 P 0.0049 0.7120 0.3944 1
O1 O 0.0088 0.1941 0.9515 1
O2 O 0.0133 0.8308 0.0659 1
O3 O 0.0220 0.1864 0.5682 1
O4 O 0.1375 0.6675 0.1217 1
O5 O 0.1388 0.4685 0.4998 1
O6 O 0.1427 0.6754 0.0010 1
O7 O 0.1674 0.4849 0.8878 1
O8 O 0.1694 0.6879 0.3880 1
```

Peak list (10 most intense, 10 to 90 degrees two-theta, low angle first)
Position (°2θ), I/Imax, hkl
20.47, 100, 1 1 0
24.07, 85, 1 1 3
29.14, 14, 0 2 4
31.77, 13, 2 1 1
32.71, 66, 2 -1 6
35.83, 41, 3 0 0
46.92, 25, 3 -2 8
49.29, 26, 2 2 6
56.05, 25, 1 4 0
62.42, 17, 5 -1 6